# Rb2ZrMo3O12
Simulated X-ray powder pattern, Cu Kα. Input: a PBE+U-relaxed structure.
No peak broadening, texture or thermal motion is included.

Principal peaks in the range 2θ from 10° to 90°, low angle first:
- 2θ = 18.90°, intensity 32, (3 1 -1)
- 2θ = 22.08°, intensity 35, (3 1 1)
- 2θ = 22.44°, intensity 74, (1 1 2)
- 2θ = 22.55°, intensity 89, (3 1 -2)
- 2θ = 24.72°, intensity 34, (0 2 0)
- 2θ = 26.16°, intensity 36, (0 2 1)
- 2θ = 27.78°, intensity 100, (3 1 2)
- 2θ = 27.96°, intensity 80, (5 1 -2)
- 2θ = 28.33°, intensity 37, (6 0 0)
- 2θ = 32.81°, intensity 51, (2 0 -4)

Atomic structure:
abc: 19.6340 7.2022 10.9186
angles: 90.00 105.69 90.00
Space group Cc (No. 9)
One atom of each set of equivalent atoms:
Rb1 0.0000 0.0174 0.0000
Rb2 0.1712 0.4702 0.8640
Zr1 0.3356 0.0006 0.4271
Mo1 0.2046 0.0927 0.6103
Mo2 0.3332 0.3840 0.1751
Mo3 0.4692 0.0928 0.7500
O1 0.0072 0.3718 0.7841
O2 0.0399 0.2514 0.2711
O3 0.1291 0.2345 0.5741
O4 0.1739 0.1359 0.0848
O5 0.2536 0.1114 0.7808
O6 0.2581 0.4739 0.6482
O7 0.2596 0.1340 0.4996
O8 0.3268 0.2402 0.0337
O9 0.3416 0.2396 0.3187
O10 0.4086 0.4761 0.6984
O11 0.4154 0.1328 0.8634
O12 0.4159 0.0964 0.5825